For La21Fe8Bi7C12, DFT lattice parameters and positions (PBE) gives the theoretical powder X-ray diffraction pattern in this record (Cu Kα (λ = 1.5418 Å)).
Neutral-atom scattering factors, no anomalous dispersion.

Top 8 peaks for 10 to 80 degrees two-theta, low angle first:
Position (°2θ)	Rel. int.	hkl
28.11	100	3 3 3
30.66	45	4 4 0
32.10	43	5 3 1
32.57	77	6 0 0
42.08	38	5 5 3
46.73	33	6 6 0
55.42	21	9 3 3
57.82	23	7 7 3

Cell and atoms:
```
data_La21Fe8Bi7C12
_cell_length_a 16.4953
_cell_length_b 16.4953
_cell_length_c 16.4953
_cell_angle_alpha 90.00
_cell_angle_beta 90.00
_cell_angle_gamma 90.00
_symmetry_space_group_name_H-M 'F m -3 m'
_symmetry_Int_Tables_number 225
_symmetry_space_group_name_Hall '-F 4 2 3'
loop_
_atom_site_label
_atom_site_fract_x
_atom_site_fract_y
_atom_site_fract_z
_atom_site_occupancy
La1 0.0000 0.0000 0.0000 1
La2 0.0000 0.1711 0.3289 1
La3 0.1374 0.1374 0.1374 1
Fe1 0.1964 0.1964 0.3036 1
Bi1 0.0000 0.0000 0.2091 1
Bi2 0.0000 0.0000 0.5000 1
C1 0.1086 0.2500 0.2500 1
```